(1)
The following is a simulated powder diffractogram of Cr3RuRh3. It was derived from a cell relaxed with GGA-PBE, using λ = 1.5418 Å (Cu Kα).

Crystal structure
```
data_Cr3RuRh3
_chemical_formula_sum 'Cr12 Ru4 Rh12'
_symmetry_space_group_name_H-M 'P 21 3'
_symmetry_Int_Tables_number 198
_symmetry_space_group_name_Hall 'P 2ac 2ab 3'
_cell_length_a 7.2794
_cell_length_b 7.2794
_cell_length_c 7.2794
_cell_angle_alpha 90.00
_cell_angle_beta 90.00
_cell_angle_gamma 90.00
loop_
_atom_site_label
_atom_site_type_symbol
_atom_site_fract_x
_atom_site_fract_y
_atom_site_fract_z
_atom_site_occupancy
Cr1 Cr 0.0700 0.2707 0.8427 1
Ru1 Ru 0.0974 0.5974 0.9026 1
Rh1 Rh 0.0254 0.4746 0.5254 1
Rh2 Rh 0.1223 0.8777 0.3777 1
Rh3 Rh 0.1910 0.1910 0.1910 1
```

Main lines, in order of rising 2θ (2θ = 10–90°):
d_spacing	I (rel.)	(hkl)
2.972	46	2 1 1
2.574	42	2 2 0
2.302	85	3 0 1
2.195	76	3 1 1
2.019	90	3 0 2
1.945	100	3 2 1
1.401	22	5 1 1
1.352	25	4 2 3
1.181	24	5 3 2
1.137	34	5 4 0

=====

(2)
The following is a simulated powder diffractogram of CrSbRh. It was derived from a cell relaxed with GGA-PBE, using λ = 1.5418 Å (Cu Kα).

Crystal structure
```
data_CrSbRh
_chemical_formula_sum 'Cr4 Sb4 Rh4'
_symmetry_space_group_name_H-M 'C 1 m 1'
_symmetry_Int_Tables_number 8
_cell_length_a 7.7961
_cell_length_b 4.4917
_cell_length_c 6.9243
_cell_angle_alpha 90.00
_cell_angle_beta 118.77
_cell_angle_gamma 90.00
loop_
_symmetry_equiv_pos_as_xyz
'x,y,z'
'x,-y,z'
'x+1/2,y+1/2,z'
'x+1/2,-y+1/2,z'
loop_
_atom_site_label
_atom_site_type_symbol
_atom_site_fract_x
_atom_site_fract_y
_atom_site_fract_z
_atom_site_occupancy
Cr1 Cr 0.0000 0.0000 0.0000 1
Cr2 Cr 0.0340 0.0000 0.6915 1
Sb1 Sb 0.2730 0.5000 0.2437 1
Sb2 Sb 0.3733 0.0000 0.7092 1
Rh1 Rh 0.1429 0.5000 0.5547 1
Rh2 Rh 0.3745 0.0000 0.0962 1
```

Main lines, in order of rising 2θ (2θ = 10–90°):
d_spacing	I (rel.)	(hkl)
3.754	22	1 1 0
3.653	27	1 1 -1
3.035	50	0 0 2
2.871	62	1 1 1
2.506	38	2 0 1
2.246	81	0 2 0
2.237	31	3 1 -1
2.174	100	3 1 -2
2.032	59	3 1 0
2.018	78	1 1 -3